This entry pairs a crystal structure of Dy5Rh2 with its calculated powder XRD pattern. Radiation: copper Kα. Structure: a crystal structure in Alexandria, relaxed with GGA-PBE.
Lines closer than 0.1° are merged.

Largest 10 diffraction maxima, sorted by position, 2θ = 10–90°:
hkl	Position (°2θ)	d/Å	Rel. int.
1 1 -2	28.76	3.104	55
0 2 1	30.66	2.916	69
5 1 0	31.25	2.862	100
4 0 -2	31.55	2.835	42
3 1 -2	31.75	2.818	45
2 2 -1	32.12	2.787	36
2 2 1	33.24	2.695	46
5 1 1	35.09	2.558	83
4 0 2	35.93	2.499	64
1 1 -3	40.46	2.230	51

Structural model:
Lattice parameters (Å, degrees): 16.1270 6.3992 7.1421 90.00 97.25 90.00
Space group C2/c (No. 15)
Unique sites:
Dy: 0.0000 0.0747 0.2500 [4 per cell]
Dy: 0.0944 0.3887 0.9182 [8 per cell]
Dy: 0.2183 0.0710 0.3122 [8 per cell]
Rh: 0.1114 0.2070 0.5740 [8 per cell]